Computed X-ray powder pattern of SrYBr2 for Cu Kα (λ = 1.5418 Å), from a GGA-PBE-relaxed structure.
Neutral-atom scattering factors, no anomalous dispersion.

Most intense lines, 2θ = 5–70°, low angle first:
- hkl 0 0 2, 25.03°, I 50
- hkl 1 1 1, 32.49°, I 100
- hkl 0 2 0, 36.63°, I 18
- hkl 0 2 2, 44.88°, I 20
- hkl 2 0 0, 48.29°, I 8
- hkl 1 1 3, 49.03°, I 31
- hkl 2 0 2, 55.14°, I 11
- hkl 2 2 0, 62.10°, I 7
- hkl 1 3 1, 63.36°, I 14
- hkl 2 2 2, 68.04°, I 11

Atomic structure:
```
SrYBr2
1.0
3.770 0.000 0.000
0.000 4.906 0.000
0.000 0.000 7.115
Sr Y Br
1 1 2
direct
0.000 0.000 0.000
0.500 0.000 0.500
0.000 0.500 0.500
0.500 0.500 0.000
```